[1]
For Pa2Pd3Rh3, a cell relaxed with GGA-PBE gives the calculated powder XRD pattern in this record (Cu Kα).
Lines closer than 0.1° are merged.

abc: 5.248 5.248 5.248
angles: 94.72 94.72 94.72
Sites, in units of the cell vectors:
Pa: 0.223 0.223 0.223
Pa: 0.777 0.777 0.777
Pd: 0.236 0.764 0.500
Pd: 0.500 0.236 0.764
Pd: 0.764 0.500 0.236
Rh: 0.000 0.300 0.700
Rh: 0.300 0.700 0.000
Rh: 0.700 0.000 0.300

Main lines, in order of falling intensity (2θ from 10° to 90°):
d = 2.229 Å, 2θ 40.5, intensity 100; d = 2.250 Å, 2θ 40.1, intensity 79; d = 2.159 Å, 2θ 41.8, intensity 71; d = 2.604 Å, 2θ 34.4, intensity 69; d = 3.529 Å, 2θ 25.2, intensity 37; d = 2.418 Å, 2θ 37.2, intensity 33; d = 1.439 Å, 2θ 64.8, intensity 28; d = 1.303 Å, 2θ 72.6, intensity 27; d = 1.984 Å, 2θ 45.7, intensity 21; d = 1.383 Å, 2θ 67.7, intensity 19

---

[2]
For KCd2Pb2, a cell relaxed with GGA-PBE gives the calculated powder XRD pattern in this record (Cu Kα).
Lines closer than 0.1° are merged.

abc: 4.922 4.922 13.372
angles: 90.00 90.00 90.00
Sites, in units of the cell vectors:
K: 0.250 0.250 0.246
K: 0.750 0.750 0.754
Cd: 0.250 0.250 0.645
Cd: 0.250 0.750 0.000
Cd: 0.750 0.250 0.000
Cd: 0.750 0.750 0.355
Pb: 0.250 0.250 0.865
Pb: 0.250 0.750 0.500
Pb: 0.750 0.250 0.500
Pb: 0.750 0.750 0.135

Main lines, in order of falling intensity (2θ from 10° to 90°):
d = 3.087 Å, 2θ 28.9, intensity 100; d = 2.411 Å, 2θ 37.3, intensity 100; d = 2.461 Å, 2θ 36.5, intensity 73; d = 4.619 Å, 2θ 19.2, intensity 62; d = 6.686 Å, 2θ 13.2, intensity 43; d = 1.411 Å, 2θ 66.2, intensity 38; d = 2.350 Å, 2θ 38.3, intensity 31; d = 3.304 Å, 2θ 27.0, intensity 28; d = 1.740 Å, 2θ 52.6, intensity 25; d = 1.516 Å, 2θ 61.1, intensity 24

---

[3]
For Pu2TlIrO8, a cell relaxed with GGA-PBE gives the calculated powder XRD pattern in this record (Cu Kα).
Lines closer than 0.1° are merged.

abc: 5.659 5.659 7.094
angles: 90.00 90.00 120.00
Sites, in units of the cell vectors:
Pu: 0.333 0.667 0.096
Pu: 0.667 0.333 0.904
Tl: 0.000 0.000 0.500
Ir: 0.000 0.000 0.000
O: 0.074 0.722 0.871
O: 0.278 0.353 0.871
O: 0.333 0.667 0.359
O: 0.353 0.074 0.129
O: 0.647 0.926 0.871
O: 0.667 0.333 0.641
O: 0.722 0.647 0.129
O: 0.926 0.278 0.129

Main lines, in order of falling intensity (2θ from 10° to 90°):
d = 2.829 Å, 2θ 31.6, intensity 100; d = 7.094 Å, 2θ 12.5, intensity 75; d = 4.032 Å, 2θ 22.0, intensity 62; d = 2.873 Å, 2θ 31.1, intensity 59; d = 2.212 Å, 2θ 40.8, intensity 43; d = 2.016 Å, 2θ 45.0, intensity 27; d = 1.642 Å, 2θ 56.0, intensity 26; d = 2.628 Å, 2θ 34.1, intensity 24; d = 1.668 Å, 2θ 55.1, intensity 24; d = 3.547 Å, 2θ 25.1, intensity 24

---

[4]
For CeGa4, a cell relaxed with GGA-PBE gives the calculated powder XRD pattern in this record (Cu Kα).
Lines closer than 0.1° are merged.

abc: 9.509 9.509 5.218
angles: 90.00 90.00 90.00
Sites, in units of the cell vectors:
Ce: 0.220 0.280 0.000
Ce: 0.280 0.780 0.000
Ce: 0.720 0.220 0.000
Ce: 0.780 0.720 0.000
Ga: 0.000 0.000 0.227
Ga: 0.000 0.000 0.773
Ga: 0.085 0.784 0.500
Ga: 0.095 0.405 0.500
Ga: 0.216 0.085 0.500
Ga: 0.284 0.585 0.500
Ga: 0.405 0.905 0.500
Ga: 0.415 0.284 0.500
Ga: 0.500 0.500 0.227
Ga: 0.500 0.500 0.773
Ga: 0.585 0.716 0.500
Ga: 0.595 0.095 0.500
Ga: 0.716 0.415 0.500
Ga: 0.784 0.915 0.500
Ga: 0.905 0.595 0.500
Ga: 0.915 0.216 0.500

Main lines, in order of falling intensity (2θ from 10° to 90°):
d = 2.354 Å, 2θ 38.2, intensity 100; d = 2.826 Å, 2θ 31.7, intensity 77; d = 3.514 Å, 2θ 25.3, intensity 52; d = 2.287 Å, 2θ 39.4, intensity 52; d = 2.608 Å, 2θ 34.4, intensity 47; d = 3.362 Å, 2θ 26.5, intensity 35; d = 1.970 Å, 2θ 46.1, intensity 34; d = 2.306 Å, 2θ 39.1, intensity 31; d = 2.163 Å, 2θ 41.8, intensity 26; d = 1.728 Å, 2θ 53.0, intensity 25

---

[5]
For PuMoH, a cell relaxed with GGA-PBE gives the calculated powder XRD pattern in this record (Cu Kα).
Lines closer than 0.1° are merged.

abc: 5.373 7.259 5.185
angles: 90.00 118.82 90.00
Sites, in units of the cell vectors:
Pu: 0.124 0.062 0.312
Pu: 0.124 0.438 0.812
Pu: 0.876 0.562 0.188
Pu: 0.876 0.938 0.688
Mo: 0.496 0.172 0.998
Mo: 0.496 0.328 0.498
Mo: 0.504 0.672 0.502
Mo: 0.504 0.828 0.002
H: 0.217 0.750 0.109
H: 0.217 0.750 0.609
H: 0.783 0.250 0.391
H: 0.783 0.250 0.891

Main lines, in order of falling intensity (2θ from 10° to 90°):
d = 2.518 Å, 2θ 35.7, intensity 100; d = 2.835 Å, 2θ 31.6, intensity 52; d = 2.593 Å, 2θ 34.6, intensity 49; d = 1.686 Å, 2θ 54.4, intensity 36; d = 2.874 Å, 2θ 31.1, intensity 36; d = 1.925 Å, 2θ 47.2, intensity 23; d = 1.482 Å, 2θ 62.7, intensity 20; d = 2.136 Å, 2θ 42.3, intensity 18; d = 1.720 Å, 2θ 53.3, intensity 13; d = 1.414 Å, 2θ 66.1, intensity 13